Structure and theoretical powder XRD pattern of TlCuS5 (a cell relaxed with PBE; Cu Kα (weighted mean of Kα1 and Kα2)).
No peak broadening, texture or thermal motion is included.

Structural model:
a = 6.5938 Å, b = 6.8614 Å, c = 9.3659 Å
α = 99.48°, β = 108.44°, γ = 95.50°
Space group P-1 (No. 2)
One atom of each set of equivalent atoms:
1 Tl 0.1082 0.2607 0.0276 x2
2 Cu 0.5000 0.0000 0.0000 x1
3 Cu 0.5000 0.5000 0.0000 x1
4 S 0.0131 0.0647 0.2874 x2
5 S 0.1078 0.5228 0.3635 x2
6 S 0.1946 0.5053 0.6689 x2
7 S 0.2830 0.8919 0.7394 x2
8 S 0.3670 0.7503 0.0888 x2

Largest 10 diffraction maxima, by angle, 10° ≤ 2θ ≤ 90°:
- 2θ = 10.18°, d 8.693, I 100
- 2θ = 14.34°, d 6.176, I 14
- 2θ = 20.43°, d 4.347, I 12
- 2θ = 29.26°, d 3.052, I 19
- 2θ = 29.90°, d 2.988, I 14
- 2θ = 30.35°, d 2.945, I 14
- 2θ = 30.61°, d 2.920, I 17
- 2θ = 30.86°, d 2.898, I 14
- 2θ = 32.35°, d 2.768, I 18
- 2θ = 33.89°, d 2.645, I 9

=====

Structure and theoretical powder XRD pattern of Hf6CCl14 (a cell relaxed with PBE; Cu Kα (weighted mean of Kα1 and Kα2)).
No peak broadening, texture or thermal motion is included.

Structural model:
a = 14.1485 Å, b = 12.9660 Å, c = 11.5269 Å
α = 90.00°, β = 90.00°, γ = 90.00°
Space group Cmce (No. 64)
One atom of each set of equivalent atoms:
1 Hf 0.0000 0.1425 0.1028 x8
2 Hf 0.1140 0.0664 0.8830 x16
3 C 0.0000 0.0000 0.0000 x4
4 Cl 0.0000 0.1523 0.7378 x8
5 Cl 0.1223 0.0890 0.2466 x16
6 Cl 0.1234 0.2358 0.9889 x16
7 Cl 0.2485 0.0000 0.0000 x8
8 Cl 0.2500 0.1432 0.7500 x8

Largest 10 diffraction maxima, by angle, 10° ≤ 2θ ≤ 90°:
- 2θ = 12.03°, d 7.358, I 100
- 2θ = 12.51°, d 7.074, I 11
- 2θ = 25.35°, d 3.513, I 11
- 2θ = 32.10°, d 2.789, I 8
- 2θ = 36.04°, d 2.492, I 8
- 2θ = 36.26°, d 2.478, I 9
- 2θ = 37.23°, d 2.415, I 22
- 2θ = 38.60°, d 2.332, I 13
- 2θ = 40.23°, d 2.242, I 8
- 2θ = 41.22°, d 2.190, I 9

=====

Structure and theoretical powder XRD pattern of TlSbP (a cell relaxed with PBE; Cu Kα (weighted mean of Kα1 and Kα2)).
No peak broadening, texture or thermal motion is included.

Structural model:
a = 3.5923 Å, b = 3.5923 Å, c = 12.0895 Å
α = 90.00°, β = 90.00°, γ = 90.00°
Space group I4mm (No. 107)
One atom of each set of equivalent atoms:
1 Tl 0.0000 0.0000 0.0000 x2
2 Sb 0.0000 0.0000 0.7188 x2
3 P 0.0000 0.0000 0.3094 x2

Largest 10 diffraction maxima, by angle, 10° ≤ 2θ ≤ 90°:
- 2θ = 25.87°, d 3.443, I 71
- 2θ = 29.56°, d 3.022, I 31
- 2θ = 33.42°, d 2.682, I 100
- 2θ = 35.34°, d 2.540, I 56
- 2θ = 46.71°, d 1.945, I 36
- 2θ = 50.84°, d 1.796, I 20
- 2θ = 59.38°, d 1.557, I 23
- 2θ = 59.91°, d 1.544, I 17
- 2θ = 62.21°, d 1.492, I 33
- 2θ = 81.90°, d 1.176, I 19

=====

Structure and theoretical powder XRD pattern of NaDyUS4 (a cell relaxed with PBE; Cu Kα (weighted mean of Kα1 and Kα2)).
No peak broadening, texture or thermal motion is included.

Structural model:
a = 8.0965 Å, b = 8.2082 Å, c = 11.4670 Å
α = 90.00°, β = 90.00°, γ = 90.00°
Space group Imma (No. 74)
One atom of each set of equivalent atoms:
1 Na 0.0000 0.2500 0.1298 x4
2 Dy 0.2500 0.2500 0.7500 x4
3 U 0.0000 0.0000 0.5000 x4
4 S 0.0000 0.0246 0.7341 x8
5 S 0.2209 0.2500 0.5102 x8

Largest 10 diffraction maxima, by angle, 10° ≤ 2θ ≤ 90°:
- 2θ = 13.27°, d 6.674, I 50
- 2θ = 13.39°, d 6.614, I 100
- 2θ = 25.54°, d 3.487, I 49
- 2θ = 25.75°, d 3.460, I 62
- 2θ = 26.71°, d 3.337, I 25
- 2θ = 26.96°, d 3.307, I 24
- 2θ = 31.03°, d 2.882, I 64
- 2θ = 31.20°, d 2.867, I 32
- 2θ = 40.80°, d 2.212, I 26
- 2θ = 44.58°, d 2.032, I 55

=====

Structure and theoretical powder XRD pattern of MoOs2Pb2 (a cell relaxed with PBE; Cu Kα (weighted mean of Kα1 and Kα2)).
No peak broadening, texture or thermal motion is included.

Structural model:
a = 5.1769 Å, b = 5.1769 Å, c = 4.9550 Å
α = 90.00°, β = 90.00°, γ = 90.00°
Space group P4/mmm (No. 123)
One atom of each set of equivalent atoms:
1 Mo 0.0000 0.0000 0.0000 x1
2 Os 0.5000 0.5000 0.0000 x1
3 Os 0.5000 0.5000 0.5000 x1
4 Pb 0.0000 0.5000 0.5000 x2

Largest 10 diffraction maxima, by angle, 10° ≤ 2θ ≤ 90°:
- 2θ = 17.13°, d 5.177, I 53
- 2θ = 17.90°, d 4.955, I 30
- 2θ = 30.36°, d 2.944, I 94
- 2θ = 34.65°, d 2.588, I 100
- 2θ = 36.26°, d 2.477, I 44
- 2θ = 39.27°, d 2.294, I 18
- 2θ = 49.82°, d 1.830, I 36
- 2θ = 51.03°, d 1.790, I 68
- 2θ = 59.46°, d 1.554, I 29
- 2θ = 63.16°, d 1.472, I 36

=====

Structure and theoretical powder XRD pattern of RbSiO (a cell relaxed with PBE; Cu Kα (weighted mean of Kα1 and Kα2)).
No peak broadening, texture or thermal motion is included.

Structural model:
a = 5.4467 Å, b = 13.7667 Å, c = 7.5738 Å
α = 90.00°, β = 90.00°, γ = 90.00°
Space group Cmce (No. 64)
One atom of each set of equivalent atoms:
1 Rb 0.0000 0.1503 0.0670 x8
2 Si 0.0000 0.0570 0.6320 x8
3 O 0.2500 0.0093 0.7500 x8

Largest 10 diffraction maxima, by angle, 10° ≤ 2θ ≤ 90°:
- 2θ = 21.10°, d 4.210, I 21
- 2θ = 28.02°, d 3.184, I 100
- 2θ = 28.49°, d 3.133, I 14
- 2θ = 29.45°, d 3.033, I 48
- 2θ = 32.89°, d 2.723, I 22
- 2θ = 34.85°, d 2.574, I 16
- 2θ = 35.24°, d 2.547, I 15
- 2θ = 37.96°, d 2.370, I 14
- 2θ = 42.32°, d 2.136, I 15
- 2θ = 50.81°, d 1.797, I 21